# 1
Diffraction record for MoPtC. The powder diffractogram is calculated, not measured: it uses a crystal structure in Alexandria, relaxed with GGA-PBE and Cu Kα X-rays.

Principal peaks in the range 2θ = 15–90°, by angle:
32.9°, d 2.723, rel. 100, (1 1 1); 37.1°, d 2.425, rel. 33, (0 4 0); 42.4°, d 2.133, rel. 52, (1 3 1); 49.1°, d 1.854, rel. 63, (0 2 2); 57.5°, d 1.602, rel. 22, (1 5 1); 75.5°, d 1.259, rel. 35, (0 6 2)

Crystal structure
```
data_MoPtC
_symmetry_space_group_name_H-M 'C 2 2 21'
_symmetry_Int_Tables_number 20
_cell_length_a 4.0116
_cell_length_b 9.7014
_cell_length_c 4.0139
_cell_angle_alpha 90.00
_cell_angle_beta 90.00
_cell_angle_gamma 90.00
loop_
_symmetry_equiv_pos_as_xyz
'x,y,z'
'-x,-y,z+1/2'
'x,-y,-z'
'-x,y,-z+1/2'
'x+1/2,y+1/2,z'
'-x+1/2,-y+1/2,z+1/2'
'x+1/2,-y+1/2,-z'
'-x+1/2,y+1/2,-z+1/2'
loop_
_atom_site_label
_atom_site_fract_x
_atom_site_fract_y
_atom_site_fract_z
Mo1 0.0000 0.2490 0.2500
Pt1 0.2403 0.0000 0.0000
C1 0.0000 0.3285 0.7500
```

# 2
Diffraction record for ScZn. The powder diffractogram is calculated, not measured: it uses a crystal structure in Alexandria, relaxed with GGA-PBE and Cu Kα X-rays.

Principal peaks in the range 2θ = 15–90°, by angle:
33.1°, d 2.703, rel. 30, (2 0 0); 37.2°, d 2.418, rel. 100, (2 0 1); 40.9°, d 2.207, rel. 37, (2 1 1); 50.7°, d 1.802, rel. 19, (2 2 1); 64.5°, d 1.445, rel. 34, (3 2 1); 72.0°, d 1.311, rel. 12, (4 0 1)

Crystal structure
```
data_ScZn
_symmetry_space_group_name_H-M 'P 21 3'
_symmetry_Int_Tables_number 198
_symmetry_space_group_name_Hall 'P 2ac 2ab 3'
_cell_length_a 5.4057
_cell_length_b 5.4057
_cell_length_c 5.4057
_cell_angle_alpha 90.00
_cell_angle_beta 90.00
_cell_angle_gamma 90.00
loop_
_atom_site_label
_atom_site_fract_x
_atom_site_fract_y
_atom_site_fract_z
Sc1 0.0777 0.4223 0.5777
Zn1 0.0872 0.9128 0.4128
```

# 3
Diffraction record for MgAgPb2. The powder diffractogram is calculated, not measured: it uses a crystal structure in Alexandria, relaxed with GGA-PBE and Cu Kα X-rays.

Principal peaks in the range 2θ = 15–90°, by angle:
23.7°, d 3.750, rel. 44, (0 1 1); 31.9°, d 2.805, rel. 100, (1 1 0); 34.2°, d 2.622, rel. 25, (1 0 1); 34.3°, d 2.611, rel. 25, (1 0 -2); 36.1°, d 2.490, rel. 44, (0 1 2); 36.4°, d 2.467, rel. 31, (0 2 0)

Crystal structure
```
data_MgAgPb2
_symmetry_space_group_name_H-M 'P 1 m 1'
_symmetry_Int_Tables_number 6
_cell_length_a 3.5698
_cell_length_b 4.9341
_cell_length_c 6.0320
_cell_angle_alpha 90.00
_cell_angle_beta 106.98
_cell_angle_gamma 90.00
loop_
_symmetry_equiv_pos_as_xyz
'x,y,z'
'x,-y,z'
loop_
_atom_site_label
_atom_site_fract_x
_atom_site_fract_y
_atom_site_fract_z
Mg1 0.0000 0.0000 0.0000
Ag1 0.8611 0.5000 0.7248
Pb1 0.2688 0.0000 0.5416
Pb2 0.5928 0.5000 0.1834
```